1.
This entry pairs a crystal structure of CsNaMg14O15 with its theoretical powder diffraction line list. Radiation: copper Kα. Structure: a crystal structure in Alexandria, relaxed with PBE.
Kinematic intensities with the Lorentz-polarization factor, no thermal factor.

Structural model:
Cell lengths 4.1943, 8.3670, 10.7163 Å; angles 90.00, 90.00, 90.00 degrees
Space group Pmm2 (No. 25)
Inequivalent atoms, fractional coordinates:
Cs 0.0000 0.0000 0.0000 [1 per cell]
Na 0.0000 0.5000 0.5844 [1 per cell]
Mg 0.0000 0.0000 0.5409 [1 per cell]
Mg 0.0000 0.2299 0.3348 [2 per cell]
Mg 0.0000 0.2518 0.7426 [2 per cell]
Mg 0.0000 0.5000 0.0463 [1 per cell]
Mg 0.5000 0.0000 0.3344 [1 per cell]
Mg 0.5000 0.0000 0.7297 [1 per cell]
Mg 0.5000 0.2566 0.1407 [2 per cell]
Mg 0.5000 0.2596 0.5463 [2 per cell]
Mg 0.5000 0.5000 0.3534 [1 per cell]
Mg 0.5000 0.5000 0.8331 [1 per cell]
O 0.0000 0.0000 0.3513 [1 per cell]
O 0.0000 0.0000 0.7372 [1 per cell]
O 0.0000 0.2452 0.5412 [2 per cell]
O 0.0000 0.3033 0.1540 [2 per cell]
O 0.0000 0.5000 0.8168 [1 per cell]
O 0.5000 0.0000 0.1478 [1 per cell]
O 0.5000 0.0000 0.5384 [1 per cell]
O 0.5000 0.2512 0.7538 [2 per cell]
O 0.5000 0.2673 0.3347 [2 per cell]
O 0.5000 0.5000 0.0299 [1 per cell]
O 0.5000 0.5000 0.5296 [1 per cell]

The 10 most intense peaks (10 to 90 degrees two-theta), sorted by position:
10.57°, rel. 65.3, hkl 0 1 0
22.80°, rel. 86.7, hkl 0 2 1
27.03°, rel. 82.4, hkl 0 2 2
29.07°, rel. 62.7, hkl 1 1 2
32.95°, rel. 48.1, hkl 0 2 3
34.62°, rel. 95.2, hkl 1 2 2
43.14°, rel. 100.0, hkl 2 0 0
43.25°, rel. 89.8, hkl 0 4 0
51.69°, rel. 36.4, hkl 2 2 2
62.74°, rel. 52.1, hkl 2 4 0

2.
This entry pairs a crystal structure of Cs2NaMgPb2 with its theoretical powder diffraction line list. Radiation: copper Kα. Structure: a crystal structure in Alexandria, relaxed with PBE.
Kinematic intensities with the Lorentz-polarization factor, no thermal factor.

Structural model:
Cell lengths 7.7750, 18.2123, 7.4235 Å; angles 90.00, 90.00, 90.00 degrees
Space group Ibam (No. 72)
Inequivalent atoms, fractional coordinates:
Cs 0.2289 0.1728 0.0000 [8 per cell]
Na 0.0000 0.0000 0.2500 [4 per cell]
Mg 0.0000 0.5000 0.2500 [4 per cell]
Pb 0.2140 0.4084 0.0000 [8 per cell]

The 10 most intense peaks (10 to 90 degrees two-theta), sorted by position:
19.50°, rel. 16.3, hkl 0 4 0
22.88°, rel. 36.8, hkl 2 0 0
23.97°, rel. 38.9, hkl 0 0 2
25.65°, rel. 100.0, hkl 1 4 1
30.23°, rel. 17.2, hkl 2 4 0
31.09°, rel. 18.6, hkl 0 4 2
33.38°, rel. 39.6, hkl 2 0 2
41.92°, rel. 20.1, hkl 3 4 1
43.18°, rel. 53.5, hkl 1 8 1
55.12°, rel. 18.9, hkl 3 8 1

3.
This entry pairs a crystal structure of CsMg2Ni with its theoretical powder diffraction line list. Radiation: copper Kα. Structure: a crystal structure in Alexandria, relaxed with PBE.
Kinematic intensities with the Lorentz-polarization factor, no thermal factor.

Structural model:
Cell lengths 7.7610, 7.7610, 10.9431 Å; angles 90.00, 90.00, 90.00 degrees
Space group I4_1/amd (No. 141, origin choice 2)
Inequivalent atoms, fractional coordinates:
Cs 0.0000 0.2500 0.3750 [4 per cell]
Mg 0.0000 0.0000 0.0000 [8 per cell]
Ni 0.0000 0.2500 0.8750 [4 per cell]

The 10 most intense peaks (10 to 90 degrees two-theta), sorted by position:
22.94°, rel. 100.0, hkl 2 0 0
26.97°, rel. 17.7, hkl 2 1 1
32.63°, rel. 7.3, hkl 2 2 0
40.30°, rel. 44.6, hkl 3 1 2
46.87°, rel. 22.8, hkl 4 0 0
52.76°, rel. 13.3, hkl 4 2 0
52.90°, rel. 6.6, hkl 1 1 6
63.46°, rel. 15.1, hkl 5 1 2
63.56°, rel. 7.5, hkl 3 1 6
73.18°, rel. 6.1, hkl 6 0 0

4.
This entry pairs a crystal structure of CsMgO with its theoretical powder diffraction line list. Radiation: copper Kα. Structure: a crystal structure in Alexandria, relaxed with PBE.
Kinematic intensities with the Lorentz-polarization factor, no thermal factor.

Structural model:
Cell lengths 4.0379, 4.0380, 12.2234 Å; angles 90.00, 90.28, 90.00 degrees
Space group P2_1/m (No. 11)
Inequivalent atoms, fractional coordinates:
Cs 0.2457 0.2500 0.1919 [2 per cell]
Mg 0.2500 0.7500 0.5000 [2 per cell]
O 0.2495 0.2500 0.4658 [2 per cell]

The 10 most intense peaks (10 to 90 degrees two-theta), sorted by position:
14.49°, rel. 13.1, hkl 0 0 2
21.81°, rel. 45.3, hkl 0 0 3
23.20°, rel. 100.0, hkl 1 0 -1
26.44°, rel. 21.2, hkl 0 1 2
31.32°, rel. 23.2, hkl 1 1 0
34.67°, rel. 25.9, hkl 1 1 -2
36.79°, rel. 13.5, hkl 1 0 -4
36.92°, rel. 28.3, hkl 1 0 4
44.90°, rel. 15.7, hkl 0 2 0
51.13°, rel. 22.6, hkl 2 1 -1

5.
This entry pairs a crystal structure of CsPrMgO3 with its theoretical powder diffraction line list. Radiation: copper Kα. Structure: a crystal structure in Alexandria, relaxed with PBE.
Kinematic intensities with the Lorentz-polarization factor, no thermal factor.

Structural model:
Cell lengths 8.3109, 3.7365, 8.7671 Å; angles 90.00, 106.48, 90.00 degrees
Space group P2_1/m (No. 11)
Inequivalent atoms, fractional coordinates:
Cs 0.1937 0.2500 0.2080 [2 per cell]
Pr 0.3441 0.7500 0.8532 [2 per cell]
Mg 0.0823 0.2500 0.6069 [2 per cell]
O 0.1441 0.7500 0.5558 [2 per cell]
O 0.1542 0.2500 0.8400 [2 per cell]
O 0.4610 0.7500 0.1288 [2 per cell]

The 10 most intense peaks (10 to 90 degrees two-theta), sorted by position:
10.52°, rel. 53.3, hkl 0 0 1
12.96°, rel. 16.5, hkl 1 0 -1
21.14°, rel. 20.6, hkl 0 0 2
22.31°, rel. 16.6, hkl 2 0 0
26.09°, rel. 100.0, hkl 2 0 -2
27.35°, rel. 23.2, hkl 2 0 1
31.93°, rel. 26.0, hkl 0 0 3
32.05°, rel. 24.9, hkl 0 1 2
32.51°, rel. 50.7, hkl 2 1 -1
32.86°, rel. 41.6, hkl 2 1 0

6.
This entry pairs a crystal structure of CsMgRe2O8 with its theoretical powder diffraction line list. Radiation: copper Kα. Structure: a crystal structure in Alexandria, relaxed with PBE.
Kinematic intensities with the Lorentz-polarization factor, no thermal factor.

Structural model:
Cell lengths 5.8306, 5.8306, 8.2769 Å; angles 90.00, 90.00, 120.00 degrees
Space group P-3 (No. 147)
Inequivalent atoms, fractional coordinates:
Cs 0.0000 0.0000 0.0000 [1 per cell]
Mg 0.0000 0.0000 0.5000 [1 per cell]
Re 0.3333 0.6667 0.7164 [2 per cell]
O 0.1608 0.3319 0.6492 [6 per cell]
O 0.3333 0.6667 0.9296 [2 per cell]

The 10 most intense peaks (10 to 90 degrees two-theta), sorted by position:
20.60°, rel. 100.0, hkl 1 0 1
27.87°, rel. 39.9, hkl 0 1 2
30.67°, rel. 37.9, hkl 1 1 0
37.20°, rel. 22.8, hkl 0 2 1
41.92°, rel. 12.8, hkl 2 0 2
45.25°, rel. 8.6, hkl 1 1 3
48.96°, rel. 25.4, hkl 2 1 1
52.82°, rel. 13.8, hkl 3 -2 2
54.37°, rel. 9.6, hkl 1 1 4
54.52°, rel. 7.6, hkl 3 0 0

Number 2 is which compound? Cs2NaMgPb2

What is the formula in the sixth record? CsMgRe2O8